Record 1
# Mo2RuSe4
Theoretical powder XRD pattern, Cu Kα, 1.54184 Å. Input: a cell relaxed with PBE.
Neutral-atom scattering factors, no anomalous dispersion.

Largest 6 diffraction maxima, sorted by position, 2θ = 10–90°:
- (1 0 0), 13.2 deg, intensity 100
- (1 -3 1), 32.2 deg, intensity 15
- (-2 1 3), 38.9 deg, intensity 14
- (1 0 4), 39.2 deg, intensity 12
- (1 2 -4), 44.2 deg, intensity 27
- (3 0 2), 44.7 deg, intensity 12

Unit cell a=6.7290 b=9.3083 c=9.8193 alpha=90.05 beta=90.60 gamma=94.93
Space group P-1 (No. 2)
Asymmetric unit:
Mo 0.0435 0.3264 0.4113 [2 per cell]
Mo 0.0829 0.1076 0.8456 [2 per cell]
Mo 0.2663 0.5188 0.5668 [2 per cell]
Mo 0.2665 0.0197 0.0659 [2 per cell]
Ru 0.0485 0.8188 0.9084 [2 per cell]
Ru 0.0879 0.6101 0.3378 [2 per cell]
Se 0.1253 0.0788 0.2982 [2 per cell]
Se 0.1296 0.5662 0.8035 [2 per cell]
Se 0.2199 0.2516 0.6284 [2 per cell]
Se 0.2351 0.7475 0.1173 [2 per cell]
Se 0.2791 0.2844 0.0045 [2 per cell]
Se 0.2843 0.7824 0.4929 [2 per cell]
Se 0.3669 0.9448 0.8198 [2 per cell]
Se 0.3690 0.4511 0.3190 [2 per cell]

Record 2
# TeMo2SeS2
Theoretical powder XRD pattern, Cu Kα, 1.54184 Å. Input: a cell relaxed with PBE.
Neutral-atom scattering factors, no anomalous dispersion.

Largest 6 diffraction maxima, sorted by position, 2θ = 10–90°:
- (0 0 5), 11.8 deg, intensity 100
- (1 0 0), 31.2 deg, intensity 61
- (1 0 8), 36.7 deg, intensity 98
- (1 0 9), 38.1 deg, intensity 16
- (0 1 13), 44.5 deg, intensity 50
- (1 1 0), 55.6 deg, intensity 34

Unit cell a=3.3081 b=3.3081 c=37.5626 alpha=90.00 beta=90.00 gamma=120.00
Space group P3m1 (No. 156)
Asymmetric unit:
Te 0.0000 0.0000 0.0000 [1 per cell]
Te 0.0000 0.0000 0.1017 [1 per cell]
Mo 0.0000 0.0000 0.2387 [1 per cell]
Mo 0.0000 0.0000 0.8630 [1 per cell]
Mo 0.3333 0.6667 0.0509 [1 per cell]
Mo 0.3333 0.6667 0.4266 [1 per cell]
Se 0.0000 0.0000 0.3820 [1 per cell]
Se 0.0000 0.0000 0.4713 [1 per cell]
S 0.3333 0.6667 0.1981 [1 per cell]
S 0.3333 0.6667 0.2794 [1 per cell]
S 0.3333 0.6667 0.8223 [1 per cell]
S 0.3333 0.6667 0.9036 [1 per cell]

Record 3
# EuNi6S8
Theoretical powder XRD pattern, Cu Kα, 1.54184 Å. Input: a cell relaxed with PBE.
Neutral-atom scattering factors, no anomalous dispersion.

Largest 6 diffraction maxima, sorted by position, 2θ = 10–90°:
- (0 0 3), 24.5 deg, intensity 48
- (0 2 1), 24.8 deg, intensity 73
- (2 1 1), 32.2 deg, intensity 100
- (1 3 1), 43.8 deg, intensity 55
- (3 -1 4), 46.0 deg, intensity 67
- (2 2 3), 48.5 deg, intensity 53

Unit cell a=8.7713 b=8.7713 c=10.8783 alpha=90.00 beta=90.00 gamma=120.00
Space group R-3 (No. 148, hexagonal axes)
Asymmetric unit:
Eu 0.0000 0.0000 0.0000 [3 per cell]
Ni 0.0176 0.8207 0.3895 [18 per cell]
S 0.0000 0.0000 0.2555 [6 per cell]
S 0.0240 0.6300 0.2467 [18 per cell]